# K3YbS3O12
Calculated PXRD pattern, Cu Ka. Input: a GGA-PBE-relaxed structure.
No peak broadening, texture or thermal motion is included.

Most intense lines, 2θ from 15° to 90°, low angle first:
| index | d (Å) | I/Imax |
| --- | --- | --- |
| 0 2 1 | 5.383 | 63 |
| 1 3 0 | 4.392 | 35 |
| 2 0 0 | 4.365 | 64 |
| 0 4 1 | 3.406 | 95 |
| 1 3 -2 | 3.393 | 89 |
| 3 1 -1 | 3.365 | 59 |
| 1 5 -1 | 2.875 | 100 |
| 3 1 0 | 2.863 | 36 |
| 2 2 -3 | 2.850 | 45 |
| 1 1 3 | 2.112 | 38 |

Crystal structure
Unit cell a=10.6059 b=15.2393 c=9.2328 alpha=90.00 beta=124.53 gamma=90.00
Space group Cc (No. 9)
Inequivalent atoms, fractional coordinates:
K  0.0000  0.0160  0.0000 (multiplicity 4)
K  0.0952  0.4329  0.9089 (multiplicity 4)
K  0.1360  0.2455  0.2456 (multiplicity 4)
Yb  0.3273  0.1582  0.8919 (multiplicity 4)
S  0.2421  0.3581  0.6280 (multiplicity 4)
S  0.3193  0.0614  0.5222 (multiplicity 4)
S  0.4899  0.3093  0.2453 (multiplicity 4)
O  0.0603  0.1452  0.6628 (multiplicity 4)
O  0.0812  0.3342  0.4812 (multiplicity 4)
O  0.1165  0.1934  0.9383 (multiplicity 4)
O  0.1612  0.0641  0.3628 (multiplicity 4)
O  0.2428  0.4421  0.7083 (multiplicity 4)
O  0.3046  0.2877  0.7654 (multiplicity 4)
O  0.3172  0.0709  0.6827 (multiplicity 4)
O  0.3338  0.3618  0.5534 (multiplicity 4)
O  0.3557  0.3577  0.2114 (multiplicity 4)
O  0.3888  0.0277  0.0401 (multiplicity 4)
O  0.4159  0.1298  0.5182 (multiplicity 4)
O  0.4471  0.2173  0.1780 (multiplicity 4)

# K2ZnS2O8
Calculated PXRD pattern, Cu Ka. Input: a GGA-PBE-relaxed structure.
No peak broadening, texture or thermal motion is included.

Most intense lines, 2θ from 15° to 90°, low angle first:
| index | d (Å) | I/Imax |
| --- | --- | --- |
| 1 1 2 | 3.589 | 42 |
| 1 1 -4 | 3.484 | 58 |
| 1 2 1 | 3.212 | 84 |
| 1 2 -3 | 3.161 | 100 |
| 0 1 5 | 3.063 | 61 |
| 0 2 4 | 3.016 | 47 |
| 1 0 4 | 2.841 | 63 |
| 1 0 -6 | 2.755 | 37 |
| 2 0 -2 | 2.724 | 67 |
| 1 3 -2 | 2.581 | 36 |

Crystal structure
Unit cell a=5.4516 b=8.9656 c=17.0133 alpha=90.00 beta=106.67 gamma=90.00
Space group P2_1/c (No. 14)
Inequivalent atoms, fractional coordinates:
K  0.0019  0.1426  0.2715 (multiplicity 4)
K  0.2155  0.6751  0.9786 (multiplicity 4)
Zn  0.3815  0.0308  0.1301 (multiplicity 4)
S  0.1818  0.1117  0.9280 (multiplicity 4)
S  0.4132  0.1163  0.6769 (multiplicity 4)
O  0.0927  0.6178  0.6259 (multiplicity 4)
O  0.1783  0.1194  0.0148 (multiplicity 4)
O  0.2400  0.0352  0.6070 (multiplicity 4)
O  0.2977  0.5338  0.4111 (multiplicity 4)
O  0.3124  0.2262  0.1793 (multiplicity 4)
O  0.3214  0.6217  0.8286 (multiplicity 4)
O  0.3243  0.2381  0.9078 (multiplicity 4)
O  0.4007  0.0442  0.7554 (multiplicity 4)

# KZrS2O8
Calculated PXRD pattern, Cu Ka. Input: a GGA-PBE-relaxed structure.
No peak broadening, texture or thermal motion is included.

Most intense lines, 2θ from 15° to 90°, low angle first:
| index | d (Å) | I/Imax |
| --- | --- | --- |
| 1 0 0 | 4.458 | 32 |
| 0 1 1 | 3.930 | 100 |
| 0 1 2 | 3.042 | 93 |
| 1 1 0 | 2.574 | 42 |
| 2 -1 2 | 2.189 | 18 |
| 0 2 2 | 1.965 | 30 |
| 1 0 4 | 1.886 | 20 |
| 1 1 4 | 1.618 | 18 |
| 2 1 2 | 1.562 | 21 |
| 3 0 0 | 1.486 | 12 |

Crystal structure
Unit cell a=5.1471 b=5.1471 c=8.3238 alpha=90.00 beta=90.00 gamma=120.00
Space group P-3 (No. 147)
Inequivalent atoms, fractional coordinates:
K  0.0000  0.0000  0.0000 (multiplicity 1)
Zr  0.0000  0.0000  0.5000 (multiplicity 1)
S  0.3333  0.6667  0.7279 (multiplicity 2)
O  0.0945  0.3685  0.6648 (multiplicity 6)
O  0.3333  0.6667  0.9029 (multiplicity 2)

# KSb2O4
Calculated PXRD pattern, Cu Ka. Input: a GGA-PBE-relaxed structure.
No peak broadening, texture or thermal motion is included.

Most intense lines, 2θ from 15° to 90°, low angle first:
| index | d (Å) | I/Imax |
| --- | --- | --- |
| 1 0 1 | 5.750 | 100 |
| 2 1 1 | 3.142 | 81 |
| 2 0 2 | 2.875 | 59 |
| 1 0 3 | 2.772 | 38 |
| 2 2 0 | 2.653 | 36 |
| 0 0 4 | 2.238 | 14 |
| 3 2 1 | 2.027 | 35 |
| 4 0 0 | 1.876 | 19 |
| 2 2 4 | 1.710 | 33 |
| 4 2 2 | 1.571 | 29 |

Crystal structure
Unit cell a=7.5027 b=7.5027 c=8.9509 alpha=90.00 beta=90.00 gamma=90.00
Space group I-42d (No. 122)
Inequivalent atoms, fractional coordinates:
K  0.0000  0.0000  0.0000 (multiplicity 4)
Sb  0.0035  0.2500  0.6250 (multiplicity 8)
O  0.0565  0.1867  0.3790 (multiplicity 16)

# K4Sb2O3
Calculated PXRD pattern, Cu Ka. Input: a GGA-PBE-relaxed structure.
No peak broadening, texture or thermal motion is included.

Most intense lines, 2θ from 15° to 90°, low angle first:
| index | d (Å) | I/Imax |
| --- | --- | --- |
| 1 0 1 | 5.160 | 95 |
| 1 1 0 | 3.185 | 100 |
| 1 0 4 | 3.042 | 35 |
| 1 0 5 | 2.579 | 44 |
| 1 1 4 | 2.399 | 16 |
| 2 0 4 | 2.200 | 17 |
| 2 1 1 | 2.064 | 16 |
| 2 0 5 | 2.004 | 24 |
| 3 0 0 | 1.839 | 19 |
| 2 1 5 | 1.696 | 24 |

Crystal structure
Unit cell a=6.3703 b=6.3703 c=14.5874 alpha=90.00 beta=90.00 gamma=120.00
Space group P6_3mc (No. 186)
Inequivalent atoms, fractional coordinates:
K  0.0000  0.0000  0.0000 (multiplicity 2)
K  0.0000  0.0000  0.2356 (multiplicity 2)
K  0.3333  0.6667  0.1281 (multiplicity 2)
K  0.3333  0.6667  0.7890 (multiplicity 2)
Sb  0.3333  0.6667  0.3733 (multiplicity 2)
Sb  0.3333  0.6667  0.5629 (multiplicity 2)
O  0.1780  0.3560  0.6233 (multiplicity 6)

# KSbO
Calculated PXRD pattern, Cu Ka. Input: a GGA-PBE-relaxed structure.
No peak broadening, texture or thermal motion is included.

Most intense lines, 2θ from 15° to 90°, low angle first:
| index | d (Å) | I/Imax |
| --- | --- | --- |
| 0 0 1 | 5.831 | 29 |
| 0 1 1 | 3.905 | 11 |
| 1 1 0 | 3.599 | 28 |
| 1 1 1 | 3.063 | 100 |
| 0 0 2 | 2.916 | 25 |
| 0 2 0 | 2.629 | 16 |
| 2 0 0 | 2.469 | 21 |
| 2 0 2 | 1.884 | 13 |
| 1 1 3 | 1.710 | 22 |
| 3 1 1 | 1.517 | 11 |

Crystal structure
Unit cell a=4.9374 b=5.2583 c=5.8314 alpha=90.00 beta=90.00 gamma=90.00
Space group Pma2 (No. 28)
Inequivalent atoms, fractional coordinates:
K  0.2500  0.2323  0.0000 (multiplicity 2)
Sb  0.2500  0.6884  0.4860 (multiplicity 2)
O  0.2500  0.7330  0.1545 (multiplicity 2)

# KSb5O13
Calculated PXRD pattern, Cu Ka. Input: a GGA-PBE-relaxed structure.
No peak broadening, texture or thermal motion is included.

Most intense lines, 2θ from 15° to 90°, low angle first:
| index | d (Å) | I/Imax |
| --- | --- | --- |
| 0 2 2 | 4.012 | 20 |
| 0 2 3 | 3.551 | 36 |
| 2 0 0 | 3.345 | 100 |
| 0 2 4 | 3.112 | 37 |
| 1 1 5 | 2.884 | 47 |
| 1 3 1 | 2.725 | 27 |
| 1 3 2 | 2.627 | 22 |
| 1 3 3 | 2.484 | 21 |
| 2 2 3 | 2.435 | 23 |
| 1 1 9 | 1.788 | 26 |

Crystal structure
Unit cell a=6.6909 b=9.0917 c=17.0676 alpha=90.00 beta=90.00 gamma=90.00
Space group Cmcm (No. 63)
Inequivalent atoms, fractional coordinates:
K  0.0000  0.1284  0.2500 (multiplicity 4)
Sb  0.0000  0.0000  0.0000 (multiplicity 4)
Sb  0.0000  0.2316  0.6381 (multiplicity 8)
Sb  0.0000  0.3863  0.0775 (multiplicity 8)
O  0.0000  0.0153  0.6130 (multiplicity 8)
O  0.0000  0.1832  0.7500 (multiplicity 4)
O  0.0000  0.2251  0.5098 (multiplicity 8)
O  0.0000  0.4459  0.6508 (multiplicity 8)
O  0.1888  0.5000  0.0000 (multiplicity 8)
O  0.2021  0.2730  0.1334 (multiplicity 16)